CuI2N6: simulated XRD peak list (Cu Kα (weighted mean of Kα1 and Kα2)), based on a DFT-relaxed cell (GGA-PBE, Alexandria).
Peak positions follow from Bragg's law for the DFT cell and can differ from measured ones.

Atomic structure:
Cell: 5.423 5.423 5.423 Å, 110.94 110.94 106.57°
Fractional coordinates of all 9 atoms:
Cu  0.000  0.000  0.000
I  0.250  0.750  0.500
I  0.750  0.250  0.500
N  0.211  0.211  0.422
N  0.211  0.789  0.000
N  0.414  0.414  0.000
N  0.586  0.586  0.000
N  0.789  0.211  0.000
N  0.789  0.789  0.578

Main lines, most intense first (10 to 90 degrees two-theta):
Position (°2θ)  I/Imax
34.51  100
29.05  62
55.08  47
41.55  39
20.43  36
40.44  26
86.03  14
71.29  12

***

NaCu2I3: simulated XRD peak list (Cu Kα (weighted mean of Kα1 and Kα2)), based on a DFT-relaxed cell (GGA-PBE, Alexandria).
Peak positions follow from Bragg's law for the DFT cell and can differ from measured ones.

Atomic structure:
Cell: 7.963 7.963 7.608 Å, 99.28 99.28 121.09°
Fractional coordinates of all 12 atoms:
Na  0.088  0.912  0.500
Na  0.912  0.088  0.000
Cu  0.266  0.750  0.041
Cu  0.418  0.583  0.538
Cu  0.583  0.418  0.038
Cu  0.750  0.266  0.541
I  0.039  0.254  0.424
I  0.254  0.039  0.924
I  0.427  0.876  0.407
I  0.508  0.667  0.903
I  0.667  0.508  0.403
I  0.876  0.427  0.907

Main lines, most intense first (10 to 90 degrees two-theta):
Position (°2θ)  I/Imax
23.89  100
24.77  55
24.06  52
40.57  43
39.66  41
40.32  23
13.57  20
38.97  18